1.
The following is a theoretical X-ray powder pattern of Sr10Mg2Fe3Mo5O30. It was derived from a DFT-relaxed cell (GGA+U, Alexandria), using Cu Kα.
Lines closer than 0.1° are merged.

Main lines, by intensity (10 to 90 degrees two-theta):
2θ (°), Rel. int.
32.05, 100
31.74, 95
31.57, 48
31.58, 48
44.81, 38
45.72, 34
46.20, 32
56.13, 30
57.01, 29
19.31, 24

Cell and atoms:
```
Sr10Mg2Fe3Mo5O30
1.0
7.9373 0.0000 0.0000
3.9570 8.8341 0.0000
3.9597 -0.1990 8.9994
Sr Mg Fe Mo O
10 2 3 5 30
Direct
0.0488 0.0960 0.3023
0.1560 0.2930 0.8929
0.2530 0.4992 0.4989
0.3442 0.7053 0.1030
0.4485 0.9017 0.6985
0.5515 0.0983 0.3015
0.6558 0.2947 0.8970
0.7470 0.5008 0.5011
0.8440 0.7070 0.1071
0.9512 0.9040 0.6977
0.2984 0.6005 0.8008
0.7016 0.3995 0.1992
0.1001 0.1996 0.5985
0.5000 0.0000 0.0000
0.8999 0.8004 0.4015
0.0000 0.0000 0.0000
0.1972 0.4023 0.2004
0.3983 0.7996 0.4026
0.6017 0.2004 0.5974
0.8028 0.5977 0.7996
0.0512 0.1001 0.7965
0.0670 0.5643 0.7826
0.0867 0.5996 0.3023
0.1036 0.8059 0.9062
0.1224 0.8275 0.4173
0.1507 0.3026 0.3963
0.2452 0.4989 0.0105
0.2789 0.9654 0.9812
0.2816 0.0002 0.4974
0.3006 0.2079 0.1037
0.3271 0.2257 0.6096
0.3504 0.7014 0.5986
0.4494 0.9021 0.1989
0.4601 0.3728 0.1856
0.4888 0.3888 0.7011
0.5112 0.6112 0.2989
0.5399 0.6272 0.8144
0.5506 0.0979 0.8011
0.6496 0.2986 0.4014
0.6729 0.7743 0.3904
0.6994 0.7921 0.8963
0.7184 0.9998 0.5026
0.7211 0.0346 0.0188
0.7548 0.5011 0.9895
0.8493 0.6974 0.6037
0.8776 0.1725 0.5827
0.8964 0.1941 0.0938
0.9133 0.4004 0.6977
0.9330 0.4357 0.2174
0.9488 0.8999 0.2035
```

***

2.
The following is a theoretical X-ray powder pattern of CrPb2O5. It was derived from a DFT-relaxed cell (GGA+U, Alexandria), using Cu Kα.
Lines closer than 0.1° are merged.

Main lines, by intensity (10 to 90 degrees two-theta):
2θ (°), Rel. int.
25.66, 100
29.14, 74
30.73, 53
43.40, 24
46.97, 20
29.85, 20
13.21, 17
13.64, 17
34.61, 17
53.70, 14

Cell and atoms:
```
CrPb2O5
1.0
7.0595 -2.9065 0.0000
7.0595 2.9065 0.0000
-2.8673 0.0000 6.7037
Cr Pb O
2 4 10
Direct
0.1733 0.1733 0.1584
0.8267 0.8267 0.8416
0.1417 0.1417 0.6046
0.4830 0.4830 0.2399
0.5170 0.5170 0.7601
0.8583 0.8583 0.3954
0.0841 0.6217 0.7343
0.1033 0.1033 0.9117
0.2523 0.7477 0.5000
0.2991 0.2991 0.2051
0.3783 0.9159 0.2657
0.6217 0.0841 0.7343
0.7009 0.7009 0.7949
0.7477 0.2523 0.5000
0.8967 0.8967 0.0883
0.9159 0.3783 0.2657
```